[1]
Structure and theoretical powder diffraction line list of LiMnF4 (DFT lattice parameters and positions (PBE+U); λ = 1.5418 Å (Cu Kα)).

Most intense lines, 15° ≤ 2θ ≤ 90°, by angle:
19.08 deg, I 100, (1 1 0)
26.33 deg, I 38, (2 0 0)
27.86 deg, I 29, (0 2 0)
28.02 deg, I 17, (0 0 1)
33.36 deg, I 17, (1 1 -1)
37.46 deg, I 44, (2 0 -1)
40.15 deg, I 29, (2 0 1)
44.50 deg, I 28, (1 3 0)
50.02 deg, I 15, (3 1 -1)
53.25 deg, I 14, (3 1 1)

a b c (Å): 6.7855 6.4040 3.1912
angles (deg): 90.00 93.82 90.00
Space group C2/m (No. 12)
Asymmetric unit:
Li (0.0000, 0.0000, 0.0000)
Mn (0.0000, 0.5000, 0.5000)
F (0.0000, 0.2087, 0.5000)
F (0.1936, 0.5000, 0.9638)

***

[2]
Structure and theoretical powder diffraction line list of Li3Fe2P2C2O14 (DFT lattice parameters and positions (PBE+U); λ = 1.5418 Å (Cu Kα)).

Most intense lines, 15° ≤ 2θ ≤ 90°, by angle:
17.33 deg, I 38, (1 1 -1)
19.59 deg, I 55, (0 0 2)
21.12 deg, I 71, (2 0 0)
22.14 deg, I 16, (1 1 1)
25.25 deg, I 26, (2 1 0)
26.42 deg, I 34, (1 0 -3)
27.54 deg, I 100, (0 2 0)
35.09 deg, I 23, (2 0 2)
35.86 deg, I 19, (1 0 3)
40.68 deg, I 21, (4 1 -2)

a b c (Å): 9.4435 6.4782 10.1765
angles (deg): 90.00 117.04 90.00
Space group P2_1 (No. 4)
Asymmetric unit:
Li (0.0163, 0.0000, 0.2337)
Li (0.1690, 0.2134, 0.5624)
Li (0.3320, 0.7176, 0.9331)
Fe (0.2384, 0.2109, 0.0684)
Fe (0.2707, 0.7085, 0.4364)
P (0.1487, 0.7153, 0.0701)
P (0.3451, 0.2130, 0.4234)
C (0.1643, 0.7065, 0.6252)
C (0.3292, 0.2192, 0.8713)
O (0.0251, 0.1971, 0.0572)
O (0.0594, 0.7151, 0.4866)
O (0.1310, 0.6820, 0.7324)
O (0.1409, 0.7384, 0.2177)
O (0.1813, 0.2314, 0.8503)
O (0.2362, 0.8995, 0.0414)
O (0.2413, 0.5254, 0.0572)
O (0.2436, 0.0285, 0.4336)
O (0.2558, 0.4016, 0.4439)
O (0.3117, 0.7218, 0.6497)
O (0.3538, 0.2122, 0.2762)
O (0.3565, 0.2156, 0.7617)
O (0.4354, 0.2098, 0.0090)
O (0.4819, 0.7048, 0.4532)

***

[3]
Structure and theoretical powder diffraction line list of Mn6O5F7 (DFT lattice parameters and positions (PBE+U); λ = 1.5418 Å (Cu Kα)).

Most intense lines, 15° ≤ 2θ ≤ 90°, by angle:
24.07 deg, I 98, (1 -1 0)
24.76 deg, I 92, (1 1 0)
29.55 deg, I 100, (-1 1 3)
29.78 deg, I 90, (1 -1 3)
30.09 deg, I 95, (1 1 -3)
30.37 deg, I 90, (1 1 3)
35.84 deg, I 67, (0 2 -3)
52.01 deg, I 46, (2 0 -6)
52.68 deg, I 77, (2 0 6)
62.76 deg, I 63, (0 2 9)

a b c (Å): 4.7321 5.7230 15.5754
angles (deg): 90.05 90.66 91.61
Space group P1 (No. 1)
Asymmetric unit:
Mn (0.0000, 0.0000, 0.0000)
Mn (0.0017, 0.9981, 0.6669)
Mn (0.0115, 0.6921, 0.1665)
Mn (0.0142, 0.6823, 0.8377)
Mn (0.0287, 0.9859, 0.3370)
Mn (0.5126, 0.1850, 0.8459)
Mn (0.5211, 0.4948, 0.3426)
Mn (0.5342, 0.1537, 0.1696)
Mn (0.5407, 0.4789, 0.0125)
Mn (0.5573, 0.4924, 0.6739)
Mn (0.5707, 0.1813, 0.5065)
Mn (0.9889, 0.6869, 0.5070)
O (0.2176, 0.9651, 0.8938)
O (0.2406, 0.9428, 0.2289)
O (0.7270, 0.2311, 0.9540)
O (0.7393, 0.4445, 0.1196)
O (0.7438, 0.4434, 0.7879)
O (0.7482, 0.2258, 0.6156)
O (0.7480, 0.4526, 0.4546)
O (0.8020, 0.9346, 0.1067)
O (0.8039, 0.7298, 0.6116)
O (0.8151, 0.9509, 0.4469)
F (0.2301, 0.7025, 0.4007)
F (0.2539, 0.7265, 0.7249)
F (0.2640, 0.4546, 0.2304)
F (0.2652, 0.2147, 0.0651)
F (0.2701, 0.7138, 0.0550)
F (0.2784, 0.9518, 0.5558)
F (0.2792, 0.2202, 0.7313)
F (0.2798, 0.4676, 0.9062)
F (0.2828, 0.4591, 0.5637)
F (0.3087, 0.2014, 0.4001)
F (0.7508, 0.2221, 0.2856)
F (0.7650, 0.9368, 0.7798)
F (0.7707, 0.7278, 0.9450)
F (0.7757, 0.7311, 0.2823)

***

[4]
Structure and theoretical powder diffraction line list of TiFeO3 (DFT lattice parameters and positions (PBE+U); λ = 1.5418 Å (Cu Kα)).

Most intense lines, 15° ≤ 2θ ≤ 90°, by angle:
16.22 deg, I 100, (0 0 1)
23.18 deg, I 76, (1 1 1)
25.45 deg, I 39, (1 -1 0)
26.29 deg, I 20, (1 -1 1)
30.00 deg, I 25, (1 0 2)
32.88 deg, I 17, (0 2 0)
33.21 deg, I 45, (1 1 -1)
33.92 deg, I 16, (-1 1 1)
35.85 deg, I 19, (1 -1 2)
50.29 deg, I 23, (2 -2 1)

a b c (Å): 5.4297 5.4916 6.0518
angles (deg): 84.66 64.79 83.42
Space group P-1 (No. 2)
Asymmetric unit:
Ti (0.0805, 0.2479, 0.3840)
Fe (0.4502, 0.3216, 0.7249)
O (0.2149, 0.2979, 0.0676)
O (0.2346, 0.4565, 0.5185)
O (0.2469, 0.9348, 0.4338)

***

[5]
Structure and theoretical powder diffraction line list of Hg2W2O7 (DFT lattice parameters and positions (PBE+U); λ = 1.5418 Å (Cu Kα)).

Most intense lines, 15° ≤ 2θ ≤ 90°, by angle:
21.26 deg, I 43, (0 2 -1)
21.44 deg, I 100, (0 0 2)
23.03 deg, I 63, (1 0 -2)
25.22 deg, I 33, (1 -2 0)
26.94 deg, I 42, (1 -2 1)
27.96 deg, I 58, (-1 2 1)
28.75 deg, I 45, (1 2 -1)
32.97 deg, I 33, (0 2 -3)
36.02 deg, I 32, (2 0 0)
41.42 deg, I 34, (1 0 -4)

a b c (Å): 5.3142 8.5569 9.0940
angles (deg): 105.56 105.92 97.43
Space group P-1 (No. 2)
Asymmetric unit:
Hg (0.2141, 0.0111, 0.2866)
Hg (0.2533, 0.1896, 0.8153)
W (0.2805, 0.6808, 0.7924)
W (0.3202, 0.5467, 0.3440)
O (0.0356, 0.4372, 0.7401)
O (0.0717, 0.2979, 0.2931)
O (0.3298, 0.7442, 0.0081)
O (0.3461, 0.5569, 0.5682)
O (0.4171, 0.4459, 0.1609)
O (0.4531, 0.8706, 0.7761)
O (0.4875, 0.7598, 0.3911)

***

[6]
Structure and theoretical powder diffraction line list of Li3Fe4O3F5 (DFT lattice parameters and positions (PBE+U); λ = 1.5418 Å (Cu Kα)).

Most intense lines, 15° ≤ 2θ ≤ 90°, by angle:
17.62 deg, I 100, (0 1 -1)
17.98 deg, I 68, (1 -1 0)
20.14 deg, I 43, (0 1 0)
20.78 deg, I 33, (1 -1 1)
29.17 deg, I 31, (0 1 -2)
33.82 deg, I 29, (1 1 0)
40.95 deg, I 68, (0 2 0)
42.06 deg, I 69, (2 0 -2)
42.28 deg, I 43, (2 -2 2)
60.49 deg, I 36, (-2 2 2)

a b c (Å): 6.0020 6.1209 6.1226
angles (deg): 119.94 90.28 118.65
Space group P1 (No. 1)
Asymmetric unit:
Li (0.0000, 0.0000, 0.0000)
Li (0.0049, 0.5148, 0.4894)
Li (0.4991, 0.0076, 0.9940)
Fe (0.0181, 0.4627, 0.0165)
Fe (0.4790, 0.5362, 0.4796)
Fe (0.4864, 0.4848, 0.0030)
Fe (0.9977, 0.0035, 0.4938)
O (0.2260, 0.9964, 0.2281)
O (0.2271, 0.9972, 0.7245)
O (0.7647, 0.0087, 0.2620)
F (0.2451, 0.4628, 0.7655)
F (0.2450, 0.5559, 0.2149)
F (0.7420, 0.5476, 0.2127)
F (0.7459, 0.4534, 0.7670)
F (0.7658, 0.0108, 0.7575)

***

[7]
Structure and theoretical powder diffraction line list of LiMnPH12O10 (DFT lattice parameters and positions (PBE+U); λ = 1.5418 Å (Cu Kα)).

Most intense lines, 15° ≤ 2θ ≤ 90°, by angle:
15.19 deg, I 38, (1 0 1)
16.10 deg, I 47, (0 0 2)
16.46 deg, I 39, (0 1 1)
20.95 deg, I 100, (1 1 1)
27.55 deg, I 25, (1 0 3)
30.06 deg, I 16, (0 2 1)
30.66 deg, I 25, (2 0 2)
30.86 deg, I 20, (2 1 1)
33.27 deg, I 22, (0 2 2)
46.67 deg, I 18, (2 2 3)

a b c (Å): 6.8751 6.1757 11.0105
angles (deg): 90.00 90.00 90.00
Space group Pmn2_1 (No. 31)
Asymmetric unit:
Li (0.0000, 0.0007, 0.0000)
Mn (0.0000, 0.1158, 0.2921)
P (0.0000, 0.4934, 0.6683)
H (0.0000, 0.6617, 0.3267)
H (0.0000, 0.7590, 0.4638)
H (0.1195, 0.5123, 0.1712)
H (0.1540, 0.6713, 0.8637)
H (0.1839, 0.8730, 0.6296)
H (0.2202, 0.2835, 0.4832)
H (0.2449, 0.1246, 0.6434)
O (0.0000, 0.4541, 0.2145)
O (0.0000, 0.5073, 0.8080)
O (0.0000, 0.7279, 0.6125)
O (0.0000, 0.7980, 0.3752)
O (0.1852, 0.3747, 0.6214)
O (0.1989, 0.0268, 0.1383)
O (0.2376, 0.7873, 0.9049)

***

[8]
Structure and theoretical powder diffraction line list of Li4Mn5CoO12 (DFT lattice parameters and positions (PBE+U); λ = 1.5418 Å (Cu Kα)).

Most intense lines, 15° ≤ 2θ ≤ 90°, by angle:
17.21 deg, I 100, (0 0 2)
35.88 deg, I 15, (1 3 -1)
36.09 deg, I 14, (1 3 1)
38.89 deg, I 12, (2 0 -2)
39.62 deg, I 7, (2 0 2)
43.71 deg, I 16, (1 3 -3)
44.23 deg, I 15, (1 3 3)
56.92 deg, I 9, (1 3 -5)
57.63 deg, I 8, (1 3 5)
63.20 deg, I 8, (3 3 -1)

a b c (Å): 5.1306 8.9202 10.3091
angles (deg): 90.00 91.33 90.00
Space group C2/m (No. 12)
Asymmetric unit:
Li (0.0916, 0.2476, 0.2494)
Mn (0.0000, 0.0000, 0.5000)
Mn (0.0000, 0.1637, 0.0000)
Mn (0.0000, 0.3362, 0.5000)
Co (0.0000, 0.5000, 0.0000)
O (0.1451, 0.0000, 0.9042)
O (0.1638, 0.1817, 0.6073)
O (0.1751, 0.3163, 0.8953)
O (0.1766, 0.5000, 0.5926)